The following is a theoretical XRD peak list of CaNbZn. It was derived from DFT lattice parameters and positions (PBE), using Cu Kα X-rays.

Crystal structure
Cell: 6.1222 8.4091 5.1339 Å, 90.00 90.00 90.00°
Fractional coordinates of all 12 atoms:
Ca 0.2500 0.1192 0.0000
Ca 0.2500 0.3808 0.5000
Ca 0.7500 0.6192 0.5000
Ca 0.7500 0.8808 0.0000
Nb 0.2500 0.7316 0.7603
Nb 0.2500 0.7684 0.2603
Nb 0.7500 0.2316 0.2603
Nb 0.7500 0.2684 0.7603
Zn 0.0000 0.0000 0.5146
Zn 0.0000 0.5000 0.0146
Zn 0.5000 0.0000 0.5146
Zn 0.5000 0.5000 0.0146

Peak list (6 most intense, 5 to 70 degrees two-theta, by angle)
17.92 deg, intensity 99.4; 35.21 deg, intensity 62.8; 35.78 deg, intensity 84.6; 36.30 deg, intensity 100.0; 39.55 deg, intensity 91.0; 41.20 deg, intensity 74.9